1.
# Ba3Zn2SnO8
Computed powder diffraction line list, Cu Kα (λ = 1.5418 Å). Input: a structure optimized by DFT (PBE).
No peak broadening, texture or thermal motion is included.

```
Ba3Zn2SnO8
1.0
5.895 0.000 0.000
-2.948 5.105 0.000
0.000 0.000 7.679
Ba Zn Sn O
3 2 1 8
Cartesian
0.000 0.000 0.000
0.000 3.404 4.976
2.948 1.702 2.704
0.000 3.404 1.684
2.948 1.702 5.996
0.000 0.000 3.840
0.000 1.643 2.556
-1.525 4.284 2.556
1.422 0.821 5.123
0.000 3.404 7.508
2.948 1.702 0.171
1.525 4.284 2.556
4.473 0.821 5.123
2.948 3.463 5.123
```

The 6 most intense peaks (15 to 90 degrees two-theta), in order of rising 2θ:
two_theta  d [Å]  intensity
29.1  3.069  83
30.3  2.948  100
42.5  2.126  44
53.1  1.724  32
53.9  1.702  20
63.1  1.474  16

---

2.
# PrIn5Hg8
Computed powder diffraction line list, Cu Kα (λ = 1.5418 Å). Input: a structure optimized by DFT (PBE).
No peak broadening, texture or thermal motion is included.

```
PrIn5Hg8
1.0
6.438 -4.550 0.000
6.438 4.550 0.000
-6.432 0.000 6.467
Pr In Hg
1 5 8
Cartesian
0.000 0.000 0.000
0.692 1.153 3.898
-2.547 -1.159 5.771
5.751 1.153 2.569
3.221 -2.279 3.233
8.990 -1.159 0.695
-1.700 -0.501 2.738
-1.562 1.735 5.880
2.732 0.493 1.709
8.005 1.735 0.587
3.711 0.493 4.758
0.589 -1.738 4.893
5.854 -1.738 1.574
8.143 -0.501 3.729
```

The 6 most intense peaks (15 to 90 degrees two-theta), in order of rising 2θ:
two_theta  d [Å]  intensity
23.9  3.722  28
31.0  2.885  100
31.1  2.879  73
36.8  2.441  59
36.9  2.434  90
49.0  1.859  32

---

3.
# Al3VAs
Computed powder diffraction line list, Cu Kα (λ = 1.5418 Å). Input: a structure optimized by DFT (PBE).
No peak broadening, texture or thermal motion is included.

```
Al3VAs
1.0
4.793 0.000 0.000
0.000 4.793 0.000
0.000 0.000 4.793
Al V As
3 1 1
Cartesian
0.000 0.000 2.397
0.000 2.397 0.000
2.397 0.000 0.000
0.000 0.000 0.000
2.397 2.397 2.397
```

The 6 most intense peaks (15 to 90 degrees two-theta), in order of rising 2θ:
two_theta  d [Å]  intensity
26.3  3.389  100
32.4  2.767  45
37.5  2.397  82
46.4  1.957  41
54.1  1.695  55
74.0  1.281  19

---

4.
# TbY10Th4
Computed powder diffraction line list, Cu Kα (λ = 1.5418 Å). Input: a structure optimized by DFT (PBE).
No peak broadening, texture or thermal motion is included.

```
TbY10Th4
1.0
-5.706 5.706 3.857
5.706 -5.706 3.857
5.706 5.706 -3.857
Tb Y Th
1 10 4
Cartesian
0.000 0.000 0.000
5.706 3.309 -1.627
5.706 0.000 1.929
3.309 5.706 -1.627
2.397 0.000 2.230
0.000 2.397 2.230
5.706 3.309 1.627
3.309 5.706 1.627
2.397 0.000 5.485
0.000 5.706 1.929
0.000 2.397 5.485
2.613 2.613 0.000
3.093 -3.093 3.857
-3.093 3.093 3.857
3.093 3.093 3.857
```

The 6 most intense peaks (15 to 90 degrees two-theta), in order of rising 2θ:
two_theta  d [Å]  intensity
15.5  5.706  32
27.9  3.195  65
30.5  2.928  48
31.4  2.853  79
32.1  2.788  100
53.7  1.706  29

---

5.
# SrHf2TeO8
Computed powder diffraction line list, Cu Kα (λ = 1.5418 Å). Input: a structure optimized by DFT (PBE).
No peak broadening, texture or thermal motion is included.

```
SrHf2TeO8
1.0
3.398 -3.540 0.000
3.398 3.540 0.000
0.000 0.000 6.736
Sr Hf Te O
1 2 1 8
Cartesian
0.000 0.000 0.000
3.398 0.000 1.651
3.398 0.000 5.085
0.000 0.000 3.368
1.368 0.000 1.993
1.368 0.000 4.743
3.398 1.529 3.368
3.398 1.204 0.000
3.398 -1.204 0.000
3.398 -1.529 3.368
5.428 0.000 1.993
5.428 0.000 4.743
```

The 6 most intense peaks (15 to 90 degrees two-theta), in order of rising 2θ:
two_theta  d [Å]  intensity
25.2  3.540  59
26.2  3.398  52
32.2  2.776  100
36.7  2.451  28
49.0  1.859  40
50.2  1.817  36

---

6.
# K3LiN8
Computed powder diffraction line list, Cu Kα (λ = 1.5418 Å). Input: a structure optimized by DFT (PBE).
No peak broadening, texture or thermal motion is included.

```
K3LiN8
1.0
-3.423 3.423 4.631
3.423 -3.423 4.631
3.423 3.423 -4.631
K Li N
3 1 8
Cartesian
0.000 0.000 0.000
3.423 0.000 0.696
0.000 3.423 0.696
0.000 0.000 3.243
2.033 2.033 -2.317
1.390 -1.390 2.314
1.883 1.883 -1.154
1.540 -1.540 3.476
-1.390 1.390 2.314
1.390 1.390 2.314
-1.540 1.540 3.476
1.540 1.540 3.476
```

The 6 most intense peaks (15 to 90 degrees two-theta), in order of rising 2θ:
two_theta  d [Å]  intensity
16.1  5.505  36
26.6  3.346  31
30.8  2.907  16
32.5  2.753  100
37.1  2.421  50
64.1  1.454  14